Computed powder XRD pattern
Compound: LiSn6Pd6
Radiation: Cu Kα X-rays
Structure: DFT lattice parameters and positions (GGA-PBE)
Peak positions follow from Bragg's law for the DFT cell and can differ from measured ones.

Structural model:
```
data_LiSn6Pd6
_cell_length_a 5.7278
_cell_length_b 5.7278
_cell_length_c 8.8859
_cell_angle_alpha 90.00
_cell_angle_beta 90.00
_cell_angle_gamma 120.00
_symmetry_space_group_name_H-M 'P 6/m m m'
_symmetry_Int_Tables_number 191
_symmetry_space_group_name_Hall '-P 6 2'
loop_
_atom_site_label
_atom_site_type_symbol
_atom_site_fract_x
_atom_site_fract_y
_atom_site_fract_z
Li1 Li 0.0000 0.0000 0.0000
Sn1 Sn 0.0000 0.0000 0.3323
Sn2 Sn 0.3333 0.6667 0.0000
Sn3 Sn 0.3333 0.6667 0.5000
Pd1 Pd 0.0000 0.5000 0.2494
```

Main lines, in order of rising 2θ (2θ = 10–80°):
2theta  d (Å)  I_rel  (hkl)
17.9  4.960  19  1 0 0
31.2  2.864  29  1 1 0
35.3  2.543  10  1 0 3
36.2  2.480  31  2 0 0
37.4  2.407  45  1 1 2
40.6  2.221  18  0 0 4
41.7  2.166  100  2 0 2
44.7  2.027  26  1 0 4
59.7  1.550  12  3 0 2
65.1  1.432  43  2 2 0
71.8  1.315  20  1 1 6
79.7  1.204  16  2 2 4

Computed powder XRD pattern
Compound: Li7Sn3Pd2
Radiation: Cu Kα X-rays
Structure: DFT lattice parameters and positions (GGA-PBE)
Peak positions follow from Bragg's law for the DFT cell and can differ from measured ones.

Structural model:
```
data_Li7Sn3Pd2
_cell_length_a 4.6194
_cell_length_b 3.1125
_cell_length_c 14.6020
_cell_angle_alpha 90.00
_cell_angle_beta 93.12
_cell_angle_gamma 90.00
_symmetry_space_group_name_H-M 'P 1 2/m 1'
_symmetry_Int_Tables_number 10
_symmetry_space_group_name_Hall '-P 2y'
loop_
_atom_site_label
_atom_site_type_symbol
_atom_site_fract_x
_atom_site_fract_y
_atom_site_fract_z
Li1 Li 0.0000 0.0000 0.0000
Li2 Li 0.1577 0.5000 0.1824
Li3 Li 0.2554 0.5000 0.5335
Li4 Li 0.3608 0.0000 0.8419
Sn1 Sn 0.2155 0.0000 0.3537
Sn2 Sn 0.5000 0.5000 0.0000
Pd1 Pd 0.2990 0.5000 0.7029
```

Main lines, in order of rising 2θ (2θ = 10–80°):
2theta  d (Å)  I_rel  (hkl)
12.1  7.290  16  0 0 2
18.3  4.860  100  0 0 3
27.4  3.258  17  1 0 3
35.1  2.554  32  1 1 -1
35.5  2.528  22  1 1 1
36.6  2.456  13  1 1 -2
37.3  2.409  29  1 1 2
38.0  2.367  23  0 1 4
39.2  2.297  18  2 0 -1
42.3  2.137  18  1 1 -4
52.9  1.731  15  0 1 7
68.7  1.366  15  3 1 1

Repeat the second record exactly.
Computed powder XRD pattern
Compound: Li7Sn3Pd2
Radiation: Cu Kα X-rays
Structure: DFT lattice parameters and positions (GGA-PBE)
Peak positions follow from Bragg's law for the DFT cell and can differ from measured ones.

Structural model:
```
data_Li7Sn3Pd2
_cell_length_a 4.6194
_cell_length_b 3.1125
_cell_length_c 14.6020
_cell_angle_alpha 90.00
_cell_angle_beta 93.12
_cell_angle_gamma 90.00
_symmetry_space_group_name_H-M 'P 1 2/m 1'
_symmetry_Int_Tables_number 10
_symmetry_space_group_name_Hall '-P 2y'
loop_
_atom_site_label
_atom_site_type_symbol
_atom_site_fract_x
_atom_site_fract_y
_atom_site_fract_z
Li1 Li 0.0000 0.0000 0.0000
Li2 Li 0.1577 0.5000 0.1824
Li3 Li 0.2554 0.5000 0.5335
Li4 Li 0.3608 0.0000 0.8419
Sn1 Sn 0.2155 0.0000 0.3537
Sn2 Sn 0.5000 0.5000 0.0000
Pd1 Pd 0.2990 0.5000 0.7029
```

Main lines, in order of rising 2θ (2θ = 10–80°):
2theta  d (Å)  I_rel  (hkl)
12.1  7.290  16  0 0 2
18.3  4.860  100  0 0 3
27.4  3.258  17  1 0 3
35.1  2.554  32  1 1 -1
35.5  2.528  22  1 1 1
36.6  2.456  13  1 1 -2
37.3  2.409  29  1 1 2
38.0  2.367  23  0 1 4
39.2  2.297  18  2 0 -1
42.3  2.137  18  1 1 -4
52.9  1.731  15  0 1 7
68.7  1.366  15  3 1 1